1.
Structure and computed powder X-ray diffraction pattern of La2Pm3Er (a crystal structure in Alexandria, relaxed with GGA-PBE; copper Kα).

Principal peaks in the range 10° ≤ 2θ ≤ 90°, in order of rising 2θ:
hkl 2 2 0, d = 2.905 Å, 2θ = 30.8°, rel. 92.9; hkl 0 3 1, d = 2.892 Å, 2θ = 30.9°, rel. 100.0; hkl 2 2 2, d = 2.049 Å, 2θ = 44.2°, rel. 34.5; hkl 0 3 3, d = 1.671 Å, 2θ = 54.9°, rel. 49.5; hkl 4 3 1, d = 1.518 Å, 2θ = 61.1°, rel. 28.7; hkl 2 5 3, d = 1.294 Å, 2θ = 73.1°, rel. 15.5

Atomic structure:
```
data_La2Pm3Er
_chemical_formula_sum 'La4 Pm6 Er2'
_cell_length_a 7.131
_cell_length_b 10.013
_cell_length_c 5.785
_cell_angle_alpha 90.00
_cell_angle_beta 90.00
_cell_angle_gamma 90.00
_space_group_name_H-M_alt 'P n n m'
_space_group_IT_number 58
_space_group_name_Hall '-P 2 2n'
loop_
_atom_site_label
_atom_site_type_symbol
_atom_site_fract_x
_atom_site_fract_y
_atom_site_fract_z
_atom_site_occupancy
La1 La 0.248 0.168 0.000 1
Pm1 Pm 0.000 0.500 0.000 1
Pm2 Pm 0.250 0.333 0.500 1
Er1 Er 0.000 0.000 0.500 1
```

***

2.
Structure and computed powder X-ray diffraction pattern of Y4S5 (a crystal structure in Alexandria, relaxed with GGA-PBE; copper Kα).

Principal peaks in the range 10° ≤ 2θ ≤ 90°, in order of rising 2θ:
hkl 0 2 0, d = 4.034 Å, 2θ = 22.0°, rel. 51.1; hkl 1 0 3, d = 2.795 Å, 2θ = 32.0°, rel. 100.0; hkl 1 2 1, d = 2.632 Å, 2θ = 34.1°, rel. 68.8; hkl 0 2 4, d = 2.568 Å, 2θ = 34.9°, rel. 88.5; hkl 0 3 3, d = 2.299 Å, 2θ = 39.2°, rel. 74.2; hkl 1 3 0, d = 2.154 Å, 2θ = 41.9°, rel. 47.1

Atomic structure:
```
data_Y4S5
_chemical_formula_sum 'Y8 S10'
_cell_length_a 3.598
_cell_length_b 8.067
_cell_length_c 13.321
_cell_angle_alpha 90.00
_cell_angle_beta 90.00
_cell_angle_gamma 90.00
_space_group_name_H-M_alt 'I m m m'
_space_group_IT_number 71
_space_group_name_Hall '-I 2 2'
loop_
_atom_site_label
_atom_site_type_symbol
_atom_site_fract_x
_atom_site_fract_y
_atom_site_fract_z
_atom_site_occupancy
Y1 Y 0.000 0.214 0.131 1
S1 S 0.000 0.144 0.500 1
S2 S 0.000 0.500 0.254 1
S3 S 0.000 0.500 0.500 1
```

***

3.
Structure and computed powder X-ray diffraction pattern of Zn2NiAu (a crystal structure in Alexandria, relaxed with GGA-PBE; copper Kα).

Principal peaks in the range 10° ≤ 2θ ≤ 90°, in order of rising 2θ:
hkl 1 0 1, d = 3.407 Å, 2θ = 26.2°, rel. 30.2; hkl 1 1 2, d = 2.221 Å, 2θ = 40.6°, rel. 100.0; hkl 0 0 4, d = 2.028 Å, 2θ = 44.7°, rel. 19.0; hkl 2 0 0, d = 1.877 Å, 2θ = 48.5°, rel. 29.7; hkl 2 0 4, d = 1.378 Å, 2θ = 68.1°, rel. 20.9; hkl 3 1 2, d = 1.139 Å, 2θ = 85.2°, rel. 22.9

Atomic structure:
```
data_Zn2NiAu
_chemical_formula_sum 'Zn4 Ni2 Au2'
_cell_length_a 3.754
_cell_length_b 3.754
_cell_length_c 8.114
_cell_angle_alpha 90.00
_cell_angle_beta 90.00
_cell_angle_gamma 90.00
_space_group_name_H-M_alt 'I -4 m 2'
_space_group_IT_number 119
_space_group_name_Hall 'I -4 -2'
loop_
_atom_site_label
_atom_site_type_symbol
_atom_site_fract_x
_atom_site_fract_y
_atom_site_fract_z
_atom_site_occupancy
Zn1 Zn 0.000 0.000 0.000 1
Zn2 Zn 0.000 0.500 0.250 1
Ni1 Ni 0.000 0.500 0.750 1
Au1 Au 0.000 0.000 0.500 1
```

***

4.
Structure and computed powder X-ray diffraction pattern of GeTePt (a crystal structure in Alexandria, relaxed with GGA-PBE; copper Kα).

Principal peaks in the range 10° ≤ 2θ ≤ 90°, in order of rising 2θ:
hkl 1 1 1, d = 3.661 Å, 2θ = 24.3°, rel. 42.0; hkl 2 0 0, d = 3.170 Å, 2θ = 28.1°, rel. 60.4; hkl 2 1 0, d = 2.836 Å, 2θ = 31.6°, rel. 56.3; hkl 2 1 1, d = 2.588 Å, 2θ = 34.7°, rel. 41.0; hkl 2 2 0, d = 2.242 Å, 2θ = 40.2°, rel. 43.3; hkl 3 1 1, d = 1.912 Å, 2θ = 47.6°, rel. 100.0

Atomic structure:
```
data_GeTePt
_chemical_formula_sum 'Ge4 Te4 Pt4'
_cell_length_a 6.340
_cell_length_b 6.340
_cell_length_c 6.340
_cell_angle_alpha 90.00
_cell_angle_beta 90.00
_cell_angle_gamma 90.00
_space_group_name_H-M_alt 'P 21 3'
_space_group_IT_number 198
_space_group_name_Hall 'P 2ac 2ab 3'
loop_
_atom_site_label
_atom_site_type_symbol
_atom_site_fract_x
_atom_site_fract_y
_atom_site_fract_z
_atom_site_occupancy
Ge1 Ge 0.122 0.122 0.122 1
Te1 Te 0.124 0.376 0.624 1
Pt1 Pt 0.014 0.986 0.486 1
```

***

5.
Structure and computed powder X-ray diffraction pattern of BaSrCa2 (a crystal structure in Alexandria, relaxed with GGA-PBE; copper Kα).

Principal peaks in the range 10° ≤ 2θ ≤ 90°, in order of rising 2θ:
hkl 0 0 6, d = 6.725 Å, 2θ = 13.2°, rel. 22.9; hkl 1 0 4, d = 3.366 Å, 2θ = 26.5°, rel. 100.0; hkl 0 1 8, d = 2.915 Å, 2θ = 30.7°, rel. 51.0; hkl 1 1 0, d = 2.061 Å, 2θ = 43.9°, rel. 36.7; hkl 0 2 4, d = 1.758 Å, 2θ = 52.0°, rel. 43.9; hkl 1 2 8, d = 1.304 Å, 2θ = 72.5°, rel. 15.9

Atomic structure:
```
data_BaSrCa2
_chemical_formula_sum 'Ba3 Sr3 Ca6'
_cell_length_a 4.1249
_cell_length_b 4.1249
_cell_length_c 40.3525
_cell_angle_alpha 90.00
_cell_angle_beta 90.00
_cell_angle_gamma 120.00
_space_group_name_H-M_alt 'R -3 m'
_space_group_IT_number 166
_space_group_name_Hall '-R 3 2"'
loop_
_atom_site_label
_atom_site_type_symbol
_atom_site_fract_x
_atom_site_fract_y
_atom_site_fract_z
_atom_site_occupancy
Ba1 Ba 0.0000 0.0000 0.0000 1
Sr1 Sr 0.0000 0.0000 0.5000 1
Ca1 Ca 0.0000 0.0000 0.2487 1
```

***

6.
Structure and computed powder X-ray diffraction pattern of Ba4Cl (a crystal structure in Alexandria, relaxed with GGA-PBE; copper Kα).

Principal peaks in the range 10° ≤ 2θ ≤ 90°, in order of rising 2θ:
hkl 2 0 0, d = 3.944 Å, 2θ = 22.5°, rel. 92.1; hkl 2 2 0, d = 2.789 Å, 2θ = 32.1°, rel. 100.0; hkl 2 2 2, d = 2.277 Å, 2θ = 39.6°, rel. 28.5; hkl 4 2 0, d = 1.764 Å, 2θ = 51.8°, rel. 39.1; hkl 4 2 2, d = 1.610 Å, 2θ = 57.2°, rel. 37.3; hkl 6 0 0, d = 1.315 Å, 2θ = 71.8°, rel. 18.9

Atomic structure:
```
data_Ba4Cl
_chemical_formula_sum 'Ba8 Cl2'
_cell_length_a 7.889
_cell_length_b 7.889
_cell_length_c 7.889
_cell_angle_alpha 90.00
_cell_angle_beta 90.00
_cell_angle_gamma 90.00
_space_group_name_H-M_alt 'I m -3 m'
_space_group_IT_number 229
_space_group_name_Hall '-I 4 2 3'
loop_
_atom_site_label
_atom_site_type_symbol
_atom_site_fract_x
_atom_site_fract_y
_atom_site_fract_z
_atom_site_occupancy
Ba1 Ba 0.250 0.250 0.250 1
Cl1 Cl 0.000 0.000 0.000 1
```

***

7.
Structure and computed powder X-ray diffraction pattern of Na3Mg2F7 (a crystal structure in Alexandria, relaxed with GGA-PBE; copper Kα).

Principal peaks in the range 10° ≤ 2θ ≤ 90°, in order of rising 2θ:
hkl 1 1 0, d = 2.784 Å, 2θ = 32.2°, rel. 56.1; hkl 1 1 4, d = 2.423 Å, 2θ = 37.1°, rel. 24.1; hkl 1 1 6, d = 2.124 Å, 2θ = 42.6°, rel. 33.3; hkl 2 0 0, d = 1.969 Å, 2θ = 46.1°, rel. 100.0; hkl 1 1 10, d = 1.608 Å, 2θ = 57.3°, rel. 19.0; hkl 2 2 0, d = 1.392 Å, 2θ = 67.2°, rel. 49.5

Atomic structure:
```
data_Na3Mg2F7
_chemical_formula_sum 'Na6 Mg4 F14'
_cell_length_a 3.936
_cell_length_b 3.936
_cell_length_c 19.717
_cell_angle_alpha 90.00
_cell_angle_beta 90.00
_cell_angle_gamma 90.00
_space_group_name_H-M_alt 'I 4/m m m'
_space_group_IT_number 139
_space_group_name_Hall '-I 4 2'
loop_
_atom_site_label
_atom_site_type_symbol
_atom_site_fract_x
_atom_site_fract_y
_atom_site_fract_z
_atom_site_occupancy
Na1 Na 0.000 0.000 0.000 1
Na2 Na 0.000 0.000 0.187 1
Mg1 Mg 0.000 0.000 0.399 1
F1 F 0.000 0.000 0.299 1
F2 F 0.000 0.000 0.500 1
F3 F 0.000 0.500 0.099 1
```

***

8.
Structure and computed powder X-ray diffraction pattern of Tl4Hg3Cl10 (a crystal structure in Alexandria, relaxed with GGA-PBE; copper Kα).

Principal peaks in the range 10° ≤ 2θ ≤ 90°, in order of rising 2θ:
hkl 1 1 0, d = 3.805 Å, 2θ = 23.4°, rel. 71.8; hkl 1 0 7, d = 3.738 Å, 2θ = 23.8°, rel. 100.0; hkl 2 0 0, d = 2.691 Å, 2θ = 33.3°, rel. 52.6; hkl 2 1 7, d = 2.184 Å, 2θ = 41.3°, rel. 49.8; hkl 2 2 0, d = 1.903 Å, 2θ = 47.8°, rel. 18.8; hkl 2 0 14, d = 1.869 Å, 2θ = 48.7°, rel. 20.3

Atomic structure:
```
data_Tl4Hg3Cl10
_chemical_formula_sum 'Tl8 Hg6 Cl20'
_cell_length_a 5.381
_cell_length_b 5.381
_cell_length_c 36.366
_cell_angle_alpha 90.00
_cell_angle_beta 90.00
_cell_angle_gamma 90.00
_space_group_name_H-M_alt 'I 4/m m m'
_space_group_IT_number 139
_space_group_name_Hall '-I 4 2'
loop_
_atom_site_label
_atom_site_type_symbol
_atom_site_fract_x
_atom_site_fract_y
_atom_site_fract_z
_atom_site_occupancy
Tl1 Tl 0.000 0.000 0.067 1
Tl2 Tl 0.000 0.000 0.197 1
Hg1 Hg 0.000 0.000 0.353 1
Hg2 Hg 0.000 0.000 0.500 1
Cl1 Cl 0.000 0.000 0.283 1
Cl2 Cl 0.000 0.000 0.428 1
Cl3 Cl 0.000 0.500 0.000 1
Cl4 Cl 0.000 0.500 0.140 1
```

***

9.
Structure and computed powder X-ray diffraction pattern of Li2MgMnH6 (a crystal structure in Alexandria, relaxed with GGA-PBE; copper Kα).

Principal peaks in the range 10° ≤ 2θ ≤ 90°, in order of rising 2θ:
hkl 0 1 1, d = 3.917 Å, 2θ = 22.7°, rel. 40.1; hkl 1 1 -1, d = 3.409 Å, 2θ = 26.1°, rel. 100.0; hkl 0 0 2, d = 3.283 Å, 2θ = 27.2°, rel. 44.8; hkl 0 2 0, d = 2.441 Å, 2θ = 36.8°, rel. 28.1; hkl 1 1 1, d = 2.392 Å, 2θ = 37.6°, rel. 54.9; hkl 1 1 -3, d = 2.339 Å, 2θ = 38.5°, rel. 51.5

Atomic structure:
```
data_Li2MgMnH6
_chemical_formula_sum 'Li4 Mg2 Mn2 H12'
_cell_length_a 4.765
_cell_length_b 4.882
_cell_length_c 7.993
_cell_angle_alpha 90.00
_cell_angle_beta 124.76
_cell_angle_gamma 90.00
_space_group_name_H-M_alt 'P 1 21/c 1'
_space_group_IT_number 14
_space_group_name_Hall '-P 2ybc'
loop_
_atom_site_label
_atom_site_type_symbol
_atom_site_fract_x
_atom_site_fract_y
_atom_site_fract_z
_atom_site_occupancy
Li1 Li 0.233 0.037 0.243 1
Mg1 Mg 0.000 0.000 0.500 1
Mn1 Mn 0.500 0.000 0.000 1
H1 H 0.165 0.176 0.948 1
H2 H 0.247 0.731 0.927 1
H3 H 0.399 0.081 0.772 1
```

***

10.
Structure and computed powder X-ray diffraction pattern of RbTiI6 (a crystal structure in Alexandria, relaxed with GGA-PBE; copper Kα).

Principal peaks in the range 10° ≤ 2θ ≤ 90°, in order of rising 2θ:
hkl 0 1 -2, d = 3.563 Å, 2θ = 25.0°, rel. 81.9; hkl 1 -2 0, d = 3.342 Å, 2θ = 26.7°, rel. 100.0; hkl -1 1 2, d = 3.225 Å, 2θ = 27.7°, rel. 65.8; hkl 1 1 1, d = 3.038 Å, 2θ = 29.4°, rel. 81.5; hkl 1 2 -1, d = 2.933 Å, 2θ = 30.5°, rel. 44.6; hkl 2 1 -3, d = 2.343 Å, 2θ = 38.4°, rel. 26.7

Atomic structure:
```
data_RbTiI6
_chemical_formula_sum 'Rb1 Ti1 I6'
_cell_length_a 6.778
_cell_length_b 7.128
_cell_length_c 8.026
_cell_angle_alpha 99.53
_cell_angle_beta 112.36
_cell_angle_gamma 98.99
_space_group_name_H-M_alt 'P -1'
_space_group_IT_number 2
_space_group_name_Hall '-P 1'
loop_
_atom_site_label
_atom_site_type_symbol
_atom_site_fract_x
_atom_site_fract_y
_atom_site_fract_z
_atom_site_occupancy
Rb1 Rb 0.000 0.000 0.000 1
Ti1 Ti 0.000 0.500 0.500 1
I1 I 0.206 0.190 0.546 1
I2 I 0.207 0.602 0.281 1
I3 I 0.349 0.734 0.814 1
```

***

11.
Structure and computed powder X-ray diffraction pattern of Ac2ErUO8 (a crystal structure in Alexandria, relaxed with GGA-PBE; copper Kα).

Principal peaks in the range 10° ≤ 2θ ≤ 90°, in order of rising 2θ:
hkl 1 1 0, d = 3.276 Å, 2θ = 27.2°, rel. 100.0; hkl 0 1 2, d = 3.208 Å, 2θ = 27.8°, rel. 95.6; hkl 1 0 2, d = 2.783 Å, 2θ = 32.2°, rel. 46.3; hkl 1 2 2, d = 1.993 Å, 2θ = 45.5°, rel. 65.8; hkl 2 1 2, d = 1.697 Å, 2θ = 54.0°, rel. 31.4; hkl 1 1 4, d = 1.668 Å, 2θ = 55.0°, rel. 29.4

Atomic structure:
```
data_Ac2ErUO8
_chemical_formula_sum 'Ac2 Er1 U1 O8'
_cell_length_a 3.999
_cell_length_b 5.712
_cell_length_c 7.754
_cell_angle_alpha 90.00
_cell_angle_beta 90.00
_cell_angle_gamma 90.00
_space_group_name_H-M_alt 'P m m m'
_space_group_IT_number 47
_space_group_name_Hall '-P 2 2'
loop_
_atom_site_label
_atom_site_type_symbol
_atom_site_fract_x
_atom_site_fract_y
_atom_site_fract_z
_atom_site_occupancy
Ac1 Ac 0.000 0.000 0.249 1
Er1 Er 0.500 0.500 0.500 1
U1 U 0.500 0.500 0.000 1
O1 O 0.000 0.276 0.500 1
O2 O 0.000 0.285 0.000 1
O3 O 0.500 0.277 0.225 1
```

***

12.
Structure and computed powder X-ray diffraction pattern of ErAl2Ag2S6 (a crystal structure in Alexandria, relaxed with GGA-PBE; copper Kα).

Principal peaks in the range 10° ≤ 2θ ≤ 90°, in order of rising 2θ:
hkl 1 1 0, d = 5.198 Å, 2θ = 17.1°, rel. 93.2; hkl 0 2 1, d = 4.138 Å, 2θ = 21.5°, rel. 36.2; hkl 1 1 -2, d = 3.198 Å, 2θ = 27.9°, rel. 36.0; hkl 2 0 -2, d = 2.726 Å, 2θ = 32.8°, rel. 61.7; hkl 1 3 1, d = 2.591 Å, 2θ = 34.6°, rel. 100.0; hkl 1 3 -3, d = 1.922 Å, 2θ = 47.3°, rel. 37.0

Atomic structure:
```
data_ErAl2Ag2S6
_chemical_formula_sum 'Er2 Al4 Ag4 S12'
_cell_length_a 6.376
_cell_length_b 11.037
_cell_length_c 6.768
_cell_angle_alpha 90.00
_cell_angle_beta 112.48
_cell_angle_gamma 90.00
_space_group_name_H-M_alt 'C 1 2/m 1'
_space_group_IT_number 12
_space_group_name_Hall '-C 2y'
loop_
_atom_site_label
_atom_site_type_symbol
_atom_site_fract_x
_atom_site_fract_y
_atom_site_fract_z
_atom_site_occupancy
Er1 Er 0.000 0.000 0.000 1
Al1 Al 0.000 0.325 0.000 1
Ag1 Ag 0.000 0.150 0.500 1
S1 S 0.214 0.500 0.212 1
S2 S 0.235 0.317 0.777 1
```

***

13.
Structure and computed powder X-ray diffraction pattern of AcNpO4 (a crystal structure in Alexandria, relaxed with GGA-PBE; copper Kα).

Principal peaks in the range 10° ≤ 2θ ≤ 90°, in order of rising 2θ:
hkl 0 1 2, d = 3.254 Å, 2θ = 27.4°, rel. 100.0; hkl 0 0 6, d = 3.197 Å, 2θ = 27.9°, rel. 31.4; hkl 1 0 4, d = 2.805 Å, 2θ = 31.9°, rel. 49.6; hkl 1 1 0, d = 1.997 Å, 2θ = 45.4°, rel. 33.7; hkl 0 1 8, d = 1.971 Å, 2θ = 46.1°, rel. 30.8; hkl 1 1 6, d = 1.694 Å, 2θ = 54.2°, rel. 31.4

Atomic structure:
```
data_AcNpO4
_chemical_formula_sum 'Ac3 Np3 O12'
_cell_length_a 3.9939
_cell_length_b 3.9939
_cell_length_c 19.1822
_cell_angle_alpha 90.00
_cell_angle_beta 90.00
_cell_angle_gamma 120.00
_space_group_name_H-M_alt 'R -3 m'
_space_group_IT_number 166
_space_group_name_Hall '-R 3 2"'
loop_
_atom_site_label
_atom_site_type_symbol
_atom_site_fract_x
_atom_site_fract_y
_atom_site_fract_z
_atom_site_occupancy
Ac1 Ac 0.0000 0.0000 0.0000 1
Np1 Np 0.0000 0.0000 0.5000 1
O1 O 0.0000 0.0000 0.1367 1
O2 O 0.0000 0.0000 0.3887 1
```

***

14.
Structure and computed powder X-ray diffraction pattern of Nd3Dy7Tm (a crystal structure in Alexandria, relaxed with GGA-PBE; copper Kα).

Principal peaks in the range 10° ≤ 2θ ≤ 90°, in order of rising 2θ:
hkl 1 1 2, d = 2.870 Å, 2θ = 31.2°, rel. 22.1; hkl 2 1 0, d = 2.827 Å, 2θ = 31.6°, rel. 100.0; hkl 2 1 -2, d = 2.793 Å, 2θ = 32.0°, rel. 45.1; hkl 0 2 0, d = 2.766 Å, 2θ = 32.4°, rel. 66.7; hkl 0 1 3, d = 2.739 Å, 2θ = 32.7°, rel. 52.0; hkl 2 3 0, d = 1.608 Å, 2θ = 57.3°, rel. 29.5

Atomic structure:
```
data_Nd3Dy7Tm
_chemical_formula_sum 'Nd3 Dy7 Tm1'
_cell_length_a 6.949
_cell_length_b 5.532
_cell_length_c 9.999
_cell_angle_alpha 90.00
_cell_angle_beta 108.92
_cell_angle_gamma 90.00
_space_group_name_H-M_alt 'P 1 2/m 1'
_space_group_IT_number 10
_space_group_name_Hall '-P 2y'
loop_
_atom_site_label
_atom_site_type_symbol
_atom_site_fract_x
_atom_site_fract_y
_atom_site_fract_z
_atom_site_occupancy
Nd1 Nd 0.000 0.000 0.000 1
Nd2 Nd 0.279 0.500 0.495 1
Dy1 Dy 0.000 0.000 0.500 1
Dy2 Dy 0.149 0.500 0.789 1
Dy3 Dy 0.322 0.500 0.135 1
Dy4 Dy 0.427 0.000 0.329 1
Tm1 Tm 0.500 0.000 0.000 1
```